1.
Structure and simulated powder X-ray diffraction pattern of Nd5Ho12Er2 (a cell relaxed with PBE; Cu Kα).

Most intense lines, 5 to 70 degrees two-theta, by angle:
Position (°2θ), d_spacing, Rel. int.
30.7, 2.913, 335
30.7, 2.908, 1000
35.6, 2.519, 676
51.3, 1.782, 322
51.3, 1.779, 160
61.0, 1.520, 382

Structural model:
Cell: 6.168 9.433 10.692 Å, 101.03 95.59 90.04°
Sites, in units of the cell vectors:
1 Nd 0.000 0.000 0.000
2 Nd 0.158 0.631 0.946
3 Nd 0.263 0.053 0.579
4 Nd 0.737 0.947 0.421
5 Nd 0.842 0.369 0.054
6 Ho 0.054 0.213 0.317
7 Ho 0.104 0.422 0.630
8 Ho 0.211 0.840 0.263
9 Ho 0.317 0.263 0.895
10 Ho 0.369 0.473 0.213
11 Ho 0.474 0.894 0.841
12 Ho 0.526 0.106 0.159
13 Ho 0.631 0.527 0.787
14 Ho 0.683 0.737 0.105
15 Ho 0.789 0.160 0.737
16 Ho 0.896 0.578 0.370
17 Ho 0.946 0.787 0.683
18 Er 0.420 0.682 0.526
19 Er 0.580 0.318 0.474



2.
Structure and simulated powder X-ray diffraction pattern of Nd3Ho7Er2 (a cell relaxed with PBE; Cu Kα).

Most intense lines, 5 to 70 degrees two-theta, by angle:
Position (°2θ), d_spacing, Rel. int.
30.8, 2.907, 572
30.9, 2.893, 351
31.2, 2.863, 1000
31.8, 2.813, 481
33.3, 2.690, 346
34.8, 2.579, 401

Structural model:
Cell: 5.816 3.557 18.753 Å, 90.00 93.04 90.00°
Sites, in units of the cell vectors:
1 Nd 0.000 0.000 0.000
2 Nd 0.278 0.500 0.634
3 Nd 0.722 0.500 0.366
4 Ho 0.191 0.500 0.144
5 Ho 0.243 0.000 0.462
6 Ho 0.307 0.000 0.824
7 Ho 0.500 0.500 0.000
8 Ho 0.693 0.000 0.176
9 Ho 0.757 0.000 0.538
10 Ho 0.809 0.500 0.856
11 Er 0.211 0.000 0.292
12 Er 0.789 0.000 0.708



3.
Structure and simulated powder X-ray diffraction pattern of Nd2Ho3Er7 (a cell relaxed with PBE; Cu Kα).

Most intense lines, 5 to 70 degrees two-theta, by angle:
Position (°2θ), d_spacing, Rel. int.
30.6, 2.922, 415
31.3, 2.853, 233
31.7, 2.825, 565
31.8, 2.812, 1000
34.0, 2.640, 341
34.9, 2.572, 219

Structural model:
Cell: 18.991 18.991 3.593 Å, 90.00 90.00 162.89°
Sites, in units of the cell vectors:
1 Nd 0.147 0.853 0.000
2 Nd 0.853 0.147 0.000
3 Ho 0.314 0.686 0.500
4 Ho 0.500 0.500 0.500
5 Ho 0.686 0.314 0.500
6 Er 0.000 0.000 0.000
7 Er 0.071 0.929 0.500
8 Er 0.231 0.769 0.000
9 Er 0.411 0.589 0.000
10 Er 0.589 0.411 0.000
11 Er 0.769 0.231 0.000
12 Er 0.929 0.071 0.500



4.
Structure and simulated powder X-ray diffraction pattern of Nd2HoEr3 (a cell relaxed with PBE; Cu Kα).

Most intense lines, 5 to 70 degrees two-theta, by angle:
Position (°2θ), d_spacing, Rel. int.
31.3, 2.861, 843
31.4, 2.849, 1000
31.5, 2.836, 352
32.2, 2.779, 539
45.7, 1.985, 254
56.9, 1.618, 342

Structural model:
Cell: 8.951 8.951 10.013 Å, 122.89 122.89 36.17°
Sites, in units of the cell vectors:
1 Nd 0.009 0.009 0.358
2 Nd 0.270 0.270 0.628
3 Nd 0.730 0.730 0.372
4 Nd 0.991 0.991 0.642
5 Ho 0.367 0.367 0.362
6 Ho 0.633 0.633 0.638
7 Er 0.113 0.113 0.154
8 Er 0.209 0.209 0.925
9 Er 0.451 0.451 0.106
10 Er 0.549 0.549 0.894
11 Er 0.791 0.791 0.075
12 Er 0.887 0.887 0.846



5.
Structure and simulated powder X-ray diffraction pattern of NdHo4Er2 (a cell relaxed with PBE; Cu Kα).

Most intense lines, 5 to 70 degrees two-theta, by angle:
Position (°2θ), d_spacing, Rel. int.
30.3, 2.953, 365
31.5, 2.838, 1000
31.7, 2.819, 476
33.1, 2.709, 451
33.2, 2.698, 462
48.6, 1.875, 195

Structural model:
Cell: 8.468 8.468 8.702 Å, 118.58 118.58 23.95°
Sites, in units of the cell vectors:
1 Nd 0.000 0.000 0.000
2 Ho 0.295 0.295 0.706
3 Ho 0.359 0.359 0.168
4 Ho 0.641 0.641 0.832
5 Ho 0.705 0.705 0.294
6 Er 0.071 0.071 0.431
7 Er 0.929 0.929 0.569



6.
Structure and simulated powder X-ray diffraction pattern of NdHoEr (a cell relaxed with PBE; Cu Kα).

Most intense lines, 5 to 70 degrees two-theta, by angle:
Position (°2θ), d_spacing, Rel. int.
30.6, 2.918, 1000
30.7, 2.909, 991
35.5, 2.526, 674
35.7, 2.517, 334
51.2, 1.783, 598
60.9, 1.520, 426

Structural model:
Cell: 6.174 6.174 6.178 Å, 99.46 99.46 119.96°
Sites, in units of the cell vectors:
1 Nd 0.250 0.750 0.750
2 Nd 0.750 0.250 0.250
3 Ho 0.082 0.918 0.250
4 Ho 0.918 0.082 0.750
5 Er 0.418 0.582 0.250
6 Er 0.582 0.418 0.750



7.
Structure and simulated powder X-ray diffraction pattern of Nd2Ho9Er3 (a cell relaxed with PBE; Cu Kα).

Most intense lines, 5 to 70 degrees two-theta, by angle:
Position (°2θ), d_spacing, Rel. int.
31.5, 2.844, 1000
31.7, 2.819, 536
31.9, 2.801, 523
33.5, 2.675, 348
33.7, 2.660, 269
34.5, 2.603, 387

Structural model:
Cell: 6.256 8.675 8.726 Å, 79.66 76.13 86.77°
Sites, in units of the cell vectors:
1 Nd 0.000 0.000 0.000
2 Nd 0.079 0.037 0.555
3 Ho 0.109 0.318 0.196
4 Ho 0.208 0.623 0.391
5 Ho 0.258 0.383 0.760
6 Ho 0.532 0.257 0.398
7 Ho 0.539 0.769 0.565
8 Ho 0.556 0.045 0.791
9 Ho 0.672 0.338 0.992
10 Ho 0.764 0.623 0.212
11 Ho 0.924 0.693 0.795
12 Er 0.361 0.674 0.980
13 Er 0.444 0.972 0.196
14 Er 0.814 0.402 0.593



8.
Structure and simulated powder X-ray diffraction pattern of Nd3Ho2Er6 (a cell relaxed with PBE; Cu Kα).

Most intense lines, 5 to 70 degrees two-theta, by angle:
Position (°2θ), d_spacing, Rel. int.
30.8, 2.901, 209
31.1, 2.871, 387
31.5, 2.841, 416
32.2, 2.777, 1000
56.5, 1.628, 204
62.3, 1.491, 168

Structural model:
Cell: 6.677 6.677 10.383 Å, 90.03 90.03 129.63°
Sites, in units of the cell vectors:
1 Nd 0.000 0.000 0.000
2 Nd 0.293 0.707 0.000
3 Nd 0.707 0.293 0.000
4 Ho 0.368 0.632 0.500
5 Ho 0.632 0.368 0.500
6 Er 0.150 0.849 0.304
7 Er 0.151 0.850 0.696
8 Er 0.499 0.499 0.212
9 Er 0.501 0.501 0.788
10 Er 0.849 0.150 0.304
11 Er 0.850 0.151 0.696